(1)
# Al4Cu2O7
Computed X-ray powder pattern, Cu Kα, 1.54184 Å. Input: DFT lattice parameters and positions (PBE).
Neutral-atom scattering factors, no anomalous dispersion.

Largest 10 diffraction maxima, in order of rising 2θ, 2θ = 10–90°:
2θ 29.8, intensity 58; 2θ 35.1, intensity 100; 2θ 36.7, intensity 36; 2θ 42.7, intensity 14; 2θ 52.9, intensity 22; 2θ 56.4, intensity 31; 2θ 61.9, intensity 51; 2θ 73.2, intensity 11; 2θ 85.8, intensity 11; 2θ 88.7, intensity 20

Cell and atoms:
Cell lengths 8.474, 8.474, 8.474 Å; angles 90.00, 90.00, 90.00 degrees
Space group F-43m (No. 216)
Inequivalent atoms, fractional coordinates:
Al: 0.120 0.120 0.120 x16
Cu: 0.000 0.000 0.500 x4
Cu: 0.250 0.250 0.750 x4
O: 0.000 0.000 0.241 x24
O: 0.250 0.250 0.250 x4

***

(2)
# AgSb2Pd6
Computed X-ray powder pattern, Cu Kα, 1.54184 Å. Input: DFT lattice parameters and positions (PBE).
Neutral-atom scattering factors, no anomalous dispersion.

Largest 10 diffraction maxima, in order of rising 2θ, 2θ = 10–90°:
2θ 38.3, intensity 100; 2θ 38.4, intensity 94; 2θ 41.7, intensity 40; 2θ 44.8, intensity 30; 2θ 47.0, intensity 26; 2θ 62.9, intensity 21; 2θ 64.7, intensity 19; 2θ 73.9, intensity 21; 2θ 78.1, intensity 10; 2θ 81.9, intensity 10

Cell and atoms:
Cell lengths 4.331, 4.876, 8.373 Å; angles 75.74, 89.97, 63.64 degrees
Space group P-1 (No. 2)
Inequivalent atoms, fractional coordinates:
Ag: 0.000 0.000 0.000 x1
Sb: 0.324 0.356 0.754 x2
Pd: 0.004 0.996 0.671 x2
Pd: 0.333 0.332 0.437 x2
Pd: 0.344 0.310 0.095 x2

***

(3)
# Na2Zn2AgPd5
Computed X-ray powder pattern, Cu Kα, 1.54184 Å. Input: DFT lattice parameters and positions (PBE).
Neutral-atom scattering factors, no anomalous dispersion.

Largest 10 diffraction maxima, in order of rising 2θ, 2θ = 10–90°:
2θ 18.6, intensity 18; 2θ 20.8, intensity 37; 2θ 35.5, intensity 22; 2θ 38.0, intensity 100; 2θ 38.9, intensity 25; 2θ 41.5, intensity 42; 2θ 42.4, intensity 19; 2θ 45.9, intensity 18; 2θ 47.6, intensity 24; 2θ 65.7, intensity 17

Cell and atoms:
Cell lengths 9.536, 9.536, 3.818 Å; angles 90.00, 90.00, 90.00 degrees
Space group P4/mbm (No. 127)
Inequivalent atoms, fractional coordinates:
Na: 0.175 0.325 0.000 x4
Zn: 0.125 0.625 0.000 x4
Ag: 0.000 0.000 0.000 x2
Pd: 0.000 0.500 0.500 x2
Pd: 0.068 0.794 0.500 x8

***

(4)
# TmU2Pt9
Computed X-ray powder pattern, Cu Kα, 1.54184 Å. Input: DFT lattice parameters and positions (PBE).
Neutral-atom scattering factors, no anomalous dispersion.

Largest 6 diffraction maxima, in order of rising 2θ, 2θ = 10–90°:
2θ 37.7, intensity 100; 2θ 43.8, intensity 50; 2θ 63.7, intensity 33; 2θ 76.4, intensity 27; 2θ 76.5, intensity 13; 2θ 80.5, intensity 12

Cell and atoms:
Cell lengths 4.137, 4.137, 12.392 Å; angles 90.00, 90.00, 90.00 degrees
Space group P4/mmm (No. 123)
Inequivalent atoms, fractional coordinates:
Tm: 0.000 0.000 0.000 x1
U: 0.000 0.000 0.331 x2
Pt: 0.000 0.500 0.166 x4
Pt: 0.000 0.500 0.500 x2
Pt: 0.500 0.500 0.000 x1
Pt: 0.500 0.500 0.332 x2

***

(5)
# SrCuSO
Computed X-ray powder pattern, Cu Kα, 1.54184 Å. Input: DFT lattice parameters and positions (PBE).
Neutral-atom scattering factors, no anomalous dispersion.

Largest 10 diffraction maxima, in order of rising 2θ, 2θ = 10–90°:
2θ 23.6, intensity 72; 2θ 27.8, intensity 37; 2θ 32.9, intensity 86; 2θ 34.2, intensity 44; 2θ 38.0, intensity 100; 2θ 40.3, intensity 30; 2θ 47.2, intensity 60; 2θ 50.6, intensity 60; 2θ 58.7, intensity 43; 2θ 77.5, intensity 23

Cell and atoms:
Cell lengths 3.852, 3.852, 19.235 Å; angles 90.00, 90.00, 90.00 degrees
Space group I4/mmm (No. 139)
Inequivalent atoms, fractional coordinates:
Sr: 0.000 0.000 0.082 x4
Cu: 0.000 0.500 0.250 x4
S: 0.000 0.000 0.322 x4
O: 0.000 0.500 0.000 x4

***

What did the second record say?
# AgSb2Pd6
Computed X-ray powder pattern, Cu Kα, 1.54184 Å. Input: DFT lattice parameters and positions (PBE).
Neutral-atom scattering factors, no anomalous dispersion.

Largest 10 diffraction maxima, in order of rising 2θ, 2θ = 10–90°:
2θ 38.3, intensity 100; 2θ 38.4, intensity 94; 2θ 41.7, intensity 40; 2θ 44.8, intensity 30; 2θ 47.0, intensity 26; 2θ 62.9, intensity 21; 2θ 64.7, intensity 19; 2θ 73.9, intensity 21; 2θ 78.1, intensity 10; 2θ 81.9, intensity 10

Cell and atoms:
Cell lengths 4.331, 4.876, 8.373 Å; angles 75.74, 89.97, 63.64 degrees
Space group P-1 (No. 2)
Inequivalent atoms, fractional coordinates:
Ag: 0.000 0.000 0.000 x1
Sb: 0.324 0.356 0.754 x2
Pd: 0.004 0.996 0.671 x2
Pd: 0.333 0.332 0.437 x2
Pd: 0.344 0.310 0.095 x2

***

- What is the formula in the third record?
  Na2Zn2AgPd5